# CeHoGa
Simulated XRD peak list, Cu Kα X-rays. Input: a DFT-relaxed cell (GGA-PBE, Alexandria).
Kinematic intensities with the Lorentz-polarization factor, no thermal factor.

Largest 8 diffraction maxima, in order of falling intensity, 15 to 90 degrees two-theta:
| (hkl) | 2θ/deg | d_spacing | intensity |
| --- | --- | --- | --- |
| 2 2 0 | 36.25 | 2.478 | 100.0 |
| 2 0 0 | 25.41 | 3.505 | 46.5 |
| 4 2 2 | 65.20 | 1.431 | 35.7 |
| 4 2 0 | 58.92 | 1.567 | 18.4 |
| 4 0 0 | 52.20 | 1.752 | 17.6 |
| 6 2 0 | 88.14 | 1.108 | 16.1 |
| 2 2 2 | 44.79 | 2.024 | 13.7 |
| 4 4 0 | 76.94 | 1.239 | 11.1 |

Structural model:
```
data_CeHoGa
_chemical_formula_sum 'Ce4 Ho4 Ga4'
_cell_length_a 7.010
_cell_length_b 7.010
_cell_length_c 7.010
_cell_angle_alpha 90.00
_cell_angle_beta 90.00
_cell_angle_gamma 90.00
_space_group_name_H-M_alt 'F -4 3 m'
_space_group_IT_number 216
_space_group_name_Hall 'F -4 2 3'
loop_
_atom_site_label
_atom_site_fract_x
_atom_site_fract_y
_atom_site_fract_z
Ce1 0.000 0.000 0.000
Ho1 0.000 0.000 0.500
Ga1 0.250 0.250 0.250
```


# Na2BiPb3
Simulated XRD peak list, Cu Kα X-rays. Input: a DFT-relaxed cell (GGA-PBE, Alexandria).
Kinematic intensities with the Lorentz-polarization factor, no thermal factor.

Largest 8 diffraction maxima, in order of falling intensity, 15 to 90 degrees two-theta:
| (hkl) | 2θ/deg | d_spacing | intensity |
| --- | --- | --- | --- |
| 2 0 -2 | 35.49 | 2.529 | 100.0 |
| 1 1 -1 | 18.58 | 4.775 | 58.1 |
| 3 1 0 | 29.63 | 3.015 | 56.6 |
| 2 4 1 | 34.77 | 2.580 | 44.7 |
| 1 1 2 | 32.09 | 2.790 | 43.0 |
| 0 4 0 | 24.35 | 3.656 | 35.6 |
| 3 3 0 | 34.43 | 2.604 | 23.2 |
| 1 3 2 | 36.60 | 2.455 | 22.1 |

Structural model:
```
data_Na2BiPb3
_chemical_formula_sum 'Na8 Bi4 Pb12'
_cell_length_a 9.244
_cell_length_b 14.624
_cell_length_c 5.993
_cell_angle_alpha 90.00
_cell_angle_beta 90.58
_cell_angle_gamma 90.00
_space_group_name_H-M_alt 'C 1 2/c 1'
_space_group_IT_number 15
loop_
_space_group_symop_operation_xyz
'x,y,z'
'-x,-y,-z'
'-x,y,-z+1/2'
'x,-y,z+1/2'
'x+1/2,y+1/2,z'
'-x+1/2,-y+1/2,-z'
'-x+1/2,y+1/2,-z+1/2'
'x+1/2,-y+1/2,z+1/2'
loop_
_atom_site_label
_atom_site_fract_x
_atom_site_fract_y
_atom_site_fract_z
Na1 0.170 0.213 0.267
Bi1 0.000 0.235 0.750
Pb1 0.000 0.457 0.750
Pb2 0.164 0.043 0.892
```


# Dy4ThCd
Simulated XRD peak list, Cu Kα X-rays. Input: a DFT-relaxed cell (GGA-PBE, Alexandria).
Kinematic intensities with the Lorentz-polarization factor, no thermal factor.

Largest 8 diffraction maxima, in order of falling intensity, 15 to 90 degrees two-theta:
| (hkl) | 2θ/deg | d_spacing | intensity |
| --- | --- | --- | --- |
| 1 0 3 | 31.44 | 2.845 | 100.0 |
| 1 1 0 | 35.47 | 2.531 | 38.3 |
| 2 1 3 | 61.18 | 1.515 | 30.1 |
| 1 1 6 | 53.25 | 1.720 | 19.4 |
| 2 0 0 | 51.04 | 1.789 | 13.7 |
| 0 0 6 | 38.38 | 2.346 | 12.4 |
| 2 0 6 | 65.62 | 1.423 | 10.3 |
| 1 0 9 | 65.10 | 1.433 | 8.0 |

Structural model:
```
data_Dy4ThCd
_chemical_formula_sum 'Dy4 Th1 Cd1'
_cell_length_a 3.579
_cell_length_b 3.579
_cell_length_c 14.073
_cell_angle_alpha 90.00
_cell_angle_beta 90.00
_cell_angle_gamma 90.00
_space_group_name_H-M_alt 'P 4/m m m'
_space_group_IT_number 123
_space_group_name_Hall '-P 4 2'
loop_
_atom_site_label
_atom_site_fract_x
_atom_site_fract_y
_atom_site_fract_z
Dy1 0.000 0.000 0.146
Dy2 0.500 0.500 0.327
Th1 0.000 0.000 0.500
Cd1 0.500 0.500 0.000
```


# Ac5Dy3
Simulated XRD peak list, Cu Kα X-rays. Input: a DFT-relaxed cell (GGA-PBE, Alexandria).
Kinematic intensities with the Lorentz-polarization factor, no thermal factor.

Largest 8 diffraction maxima, in order of falling intensity, 15 to 90 degrees two-theta:
| (hkl) | 2θ/deg | d_spacing | intensity |
| --- | --- | --- | --- |
| 1 0 4 | 28.60 | 3.121 | 100.0 |
| 1 1 0 | 32.56 | 2.750 | 36.6 |
| 2 1 4 | 55.69 | 1.650 | 32.1 |
| 1 1 8 | 47.99 | 1.896 | 23.3 |
| 0 0 8 | 34.27 | 2.617 | 14.7 |
| 2 0 0 | 46.72 | 1.944 | 13.7 |
| 2 0 8 | 59.20 | 1.561 | 12.6 |
| 1 0 12 | 57.94 | 1.592 | 12.0 |

Structural model:
```
data_Ac5Dy3
_chemical_formula_sum 'Ac5 Dy3'
_cell_length_a 3.889
_cell_length_b 3.889
_cell_length_c 20.935
_cell_angle_alpha 90.00
_cell_angle_beta 90.00
_cell_angle_gamma 90.00
_space_group_name_H-M_alt 'P 4/m m m'
_space_group_IT_number 123
_space_group_name_Hall '-P 4 2'
loop_
_atom_site_label
_atom_site_fract_x
_atom_site_fract_y
_atom_site_fract_z
Ac1 0.000 0.000 0.000
Ac2 0.000 0.000 0.241
Ac3 0.500 0.500 0.378
Dy1 0.000 0.000 0.500
Dy2 0.500 0.500 0.119
```


# RbScBe2F8
Simulated XRD peak list, Cu Kα X-rays. Input: a DFT-relaxed cell (GGA-PBE, Alexandria).
Kinematic intensities with the Lorentz-polarization factor, no thermal factor.

Largest 8 diffraction maxima, in order of falling intensity, 15 to 90 degrees two-theta:
| (hkl) | 2θ/deg | d_spacing | intensity |
| --- | --- | --- | --- |
| 1 1 0 | 19.50 | 4.551 | 100.0 |
| 2 0 0 | 20.84 | 4.263 | 81.7 |
| 1 1 -2 | 28.57 | 3.124 | 76.8 |
| 1 1 2 | 29.93 | 2.986 | 66.7 |
| 1 1 1 | 22.72 | 3.913 | 64.6 |
| 0 2 2 | 40.03 | 2.252 | 52.0 |
| 3 1 0 | 35.73 | 2.513 | 50.4 |
| 2 2 -2 | 44.62 | 2.031 | 41.4 |

Structural model:
```
data_RbScBe2F8
_chemical_formula_sum 'Rb2 Sc2 Be4 F16'
_cell_length_a 8.557
_cell_length_b 5.382
_cell_length_c 8.261
_cell_angle_alpha 90.00
_cell_angle_beta 94.89
_cell_angle_gamma 90.00
_space_group_name_H-M_alt 'C 1 2/m 1'
_space_group_IT_number 12
loop_
_space_group_symop_operation_xyz
'x,y,z'
'-x,-y,-z'
'-x,y,-z'
'x,-y,z'
'x+1/2,y+1/2,z'
'-x+1/2,-y+1/2,-z'
'-x+1/2,y+1/2,-z'
'x+1/2,-y+1/2,z'
loop_
_atom_site_label
_atom_site_fract_x
_atom_site_fract_y
_atom_site_fract_z
Rb1 0.000 0.000 0.000
Sc1 0.000 0.000 0.500
Be1 0.130 0.500 0.289
F1 0.029 0.261 0.326
F2 0.179 0.500 0.119
F3 0.230 0.000 0.573
```


# Ac3Mg7Au4
Simulated XRD peak list, Cu Kα X-rays. Input: a DFT-relaxed cell (GGA-PBE, Alexandria).
Kinematic intensities with the Lorentz-polarization factor, no thermal factor.

Largest 8 diffraction maxima, in order of falling intensity, 15 to 90 degrees two-theta:
| (hkl) | 2θ/deg | d_spacing | intensity |
| --- | --- | --- | --- |
| 3 1 -3 | 31.84 | 2.811 | 100.0 |
| 5 1 -2 | 32.49 | 2.756 | 98.0 |
| 0 2 0 | 39.58 | 2.277 | 74.9 |
| 6 0 -3 | 32.25 | 2.776 | 74.5 |
| 1 1 2 | 31.06 | 2.879 | 73.8 |
| 3 1 0 | 26.95 | 3.309 | 72.9 |
| 0 0 2 | 19.91 | 4.459 | 61.4 |
| 1 1 1 | 24.26 | 3.669 | 46.8 |

Structural model:
```
data_Ac3Mg7Au4
_chemical_formula_sum 'Ac6 Mg14 Au8'
_cell_length_a 17.414
_cell_length_b 4.552
_cell_length_c 10.747
_cell_angle_alpha 90.00
_cell_angle_beta 123.91
_cell_angle_gamma 90.00
_space_group_name_H-M_alt 'C 1 2/m 1'
_space_group_IT_number 12
loop_
_space_group_symop_operation_xyz
'x,y,z'
'-x,-y,-z'
'-x,y,-z'
'x,-y,z'
'x+1/2,y+1/2,z'
'-x+1/2,-y+1/2,-z'
'-x+1/2,y+1/2,-z'
'x+1/2,-y+1/2,z'
loop_
_atom_site_label
_atom_site_fract_x
_atom_site_fract_y
_atom_site_fract_z
Ac1 0.000 0.000 0.000
Ac2 0.194 0.500 0.704
Mg1 0.000 0.000 0.500
Mg2 0.010 0.500 0.299
Mg3 0.162 0.000 0.428
Mg4 0.178 0.500 0.014
Au1 0.116 0.000 0.831
Au2 0.159 0.500 0.266
```


# MnSbH
Simulated XRD peak list, Cu Kα X-rays. Input: a DFT-relaxed cell (GGA-PBE, Alexandria).
Kinematic intensities with the Lorentz-polarization factor, no thermal factor.

Largest 8 diffraction maxima, in order of falling intensity, 15 to 90 degrees two-theta:
| (hkl) | 2θ/deg | d_spacing | intensity |
| --- | --- | --- | --- |
| 1 0 1 | 29.20 | 3.058 | 100.0 |
| 2 1 1 | 38.86 | 2.317 | 89.6 |
| 1 2 0 | 28.09 | 3.177 | 71.6 |
| 3 1 0 | 40.14 | 2.246 | 56.4 |
| 2 2 1 | 44.93 | 2.018 | 46.3 |
| 3 0 0 | 38.00 | 2.368 | 45.7 |
| 2 0 1 | 36.66 | 2.452 | 37.9 |
| 1 3 1 | 48.63 | 1.872 | 32.3 |

Structural model:
```
data_MnSbH
_chemical_formula_sum 'Mn4 Sb4 H4'
_cell_length_a 7.104
_cell_length_b 7.104
_cell_length_c 3.388
_cell_angle_alpha 90.00
_cell_angle_beta 90.00
_cell_angle_gamma 90.00
_space_group_name_H-M_alt 'P 42/m'
_space_group_IT_number 84
loop_
_space_group_symop_operation_xyz
'x,y,z'
'-x,-y,-z'
'-y,x,z+1/2'
'y,-x,-z+1/2'
'-x,-y,z'
'x,y,-z'
'y,-x,z+1/2'
'-y,x,-z+1/2'
loop_
_atom_site_label
_atom_site_fract_x
_atom_site_fract_y
_atom_site_fract_z
Mn1 0.134 0.815 0.000
Sb1 0.196 0.426 0.000
H1 0.050 0.821 0.500
```


# Tm3Ag2Hg6
Simulated XRD peak list, Cu Kα X-rays. Input: a DFT-relaxed cell (GGA-PBE, Alexandria).
Kinematic intensities with the Lorentz-polarization factor, no thermal factor.

Largest 8 diffraction maxima, in order of falling intensity, 15 to 90 degrees two-theta:
| (hkl) | 2θ/deg | d_spacing | intensity |
| --- | --- | --- | --- |
| 1 0 11 | 38.07 | 2.364 | 100.0 |
| 1 1 2 | 30.91 | 2.893 | 75.7 |
| 1 1 6 | 34.92 | 2.570 | 73.3 |
| 2 0 0 | 43.49 | 2.081 | 63.4 |
| 2 1 11 | 59.12 | 1.563 | 30.5 |
| 2 2 0 | 63.19 | 1.471 | 21.0 |
| 3 0 11 | 76.23 | 1.249 | 19.4 |
| 1 0 9 | 33.36 | 2.686 | 16.8 |

Structural model:
```
data_Tm3Ag2Hg6
_chemical_formula_sum 'Tm6 Ag4 Hg12'
_cell_length_a 4.162
_cell_length_b 4.162
_cell_length_c 31.638
_cell_angle_alpha 90.00
_cell_angle_beta 90.00
_cell_angle_gamma 90.00
_space_group_name_H-M_alt 'I 4/m m m'
_space_group_IT_number 139
_space_group_name_Hall '-I 4 2'
loop_
_atom_site_label
_atom_site_fract_x
_atom_site_fract_y
_atom_site_fract_z
Tm1 0.000 0.000 0.000
Tm2 0.000 0.000 0.173
Ag1 0.000 0.000 0.359
Hg1 0.000 0.000 0.271
Hg2 0.000 0.500 0.073
```


# Ti3O2
Simulated XRD peak list, Cu Kα X-rays. Input: a DFT-relaxed cell (GGA-PBE, Alexandria).
Kinematic intensities with the Lorentz-polarization factor, no thermal factor.

Largest 8 diffraction maxima, in order of falling intensity, 15 to 90 degrees two-theta:
| (hkl) | 2θ/deg | d_spacing | intensity |
| --- | --- | --- | --- |
| 1 1 3 | 39.55 | 2.279 | 100.0 |
| 1 1 6 | 51.15 | 1.786 | 29.6 |
| 3 0 0 | 62.81 | 1.480 | 21.2 |
| 1 1 9 | 67.19 | 1.393 | 17.8 |
| 0 0 6 | 36.07 | 2.490 | 17.4 |
| 2 2 3 | 76.82 | 1.241 | 11.7 |
| 3 0 6 | 74.62 | 1.272 | 11.4 |
| 1 1 0 | 35.02 | 2.563 | 6.7 |

Structural model:
```
data_Ti3O2
_chemical_formula_sum 'Ti18 O12'
_cell_length_a 5.1251
_cell_length_b 5.1251
_cell_length_c 14.9395
_cell_angle_alpha 90.00
_cell_angle_beta 90.00
_cell_angle_gamma 120.00
_space_group_name_H-M_alt 'R -3 c'
_space_group_IT_number 167
_space_group_name_Hall '-R 3 2"c'
loop_
_atom_site_label
_atom_site_fract_x
_atom_site_fract_y
_atom_site_fract_z
Ti1 0.0000 0.3300 0.2500
O1 0.0000 0.0000 0.1623
```


# Hf3Ge
Simulated XRD peak list, Cu Kα X-rays. Input: a DFT-relaxed cell (GGA-PBE, Alexandria).
Kinematic intensities with the Lorentz-polarization factor, no thermal factor.

Largest 8 diffraction maxima, in order of falling intensity, 15 to 90 degrees two-theta:
| (hkl) | 2θ/deg | d_spacing | intensity |
| --- | --- | --- | --- |
| 3 2 1 | 33.75 | 2.656 | 100.0 |
| 1 4 1 | 37.63 | 2.391 | 79.5 |
| 1 1 2 | 35.04 | 2.561 | 60.5 |
| 4 2 0 | 36.62 | 2.454 | 60.3 |
| 3 3 0 | 34.66 | 2.588 | 37.9 |
| 5 5 0 | 59.49 | 1.554 | 32.4 |
| 1 3 1 | 30.57 | 2.925 | 28.3 |
| 3 1 2 | 42.28 | 2.138 | 28.0 |

Structural model:
```
data_Hf3Ge
_chemical_formula_sum 'Hf24 Ge8'
_cell_length_a 10.981
_cell_length_b 10.981
_cell_length_c 5.425
_cell_angle_alpha 90.00
_cell_angle_beta 90.00
_cell_angle_gamma 90.00
_space_group_name_H-M_alt 'P 42/n'
_space_group_IT_number 86
loop_
_space_group_symop_operation_xyz
'x,y,z'
'-x,-y,-z'
'-y,x+1/2,z+1/2'
'y,-x+1/2,-z+1/2'
'-x+1/2,-y+1/2,z'
'x+1/2,y+1/2,-z'
'y+1/2,-x,z+1/2'
'-y+1/2,x,-z+1/2'
loop_
_atom_site_label
_atom_site_fract_x
_atom_site_fract_y
_atom_site_fract_z
Hf1 0.034 0.931 0.245
Hf2 0.109 0.277 0.029
Hf3 0.144 0.832 0.724
Ge1 0.046 0.291 0.536
```


Question: Which formula does entry 9 have?
Answer: Ti3O2